Entry 1:
Starting from a structure optimized by DFT (GGA-PBE), the PXRD pattern of HfAsPC was computed for Cu Kα X-rays.
Peak positions follow from Bragg's law for the DFT cell and can differ from measured ones.

Largest 10 diffraction maxima, in order of rising 2θ, 5° ≤ 2θ ≤ 70°:
- 7.33 deg, I 100.0, hkl 0 0 1
- 30.82 deg, I 20.4, hkl 1 0 0
- 31.72 deg, I 9.3, hkl 0 1 1
- 34.30 deg, I 35.5, hkl 1 0 2
- 37.30 deg, I 9.2, hkl 0 0 5
- 38.26 deg, I 70.4, hkl 1 0 3
- 49.14 deg, I 8.2, hkl 0 1 5
- 54.80 deg, I 19.9, hkl 1 1 0
- 68.17 deg, I 9.7, hkl 1 1 5
- 68.80 deg, I 12.5, hkl 0 2 3

Crystal structure
Cell: 3.350 3.350 12.053 Å, 90.00 90.00 120.00°
Positions (direct):
Hf 0.333 0.667 0.399
Hf 0.667 0.333 0.601
As 0.333 0.667 0.773
As 0.667 0.333 0.227
P 0.333 0.667 0.096
P 0.667 0.333 0.904
C 0.000 0.000 0.000
C 0.000 0.000 0.500

=====

Entry 2:
Starting from a structure optimized by DFT (GGA-PBE), the PXRD pattern of Hf4SbAsC2 was computed for Cu Kα X-rays.
Peak positions follow from Bragg's law for the DFT cell and can differ from measured ones.

Largest 10 diffraction maxima, in order of rising 2θ, 5° ≤ 2θ ≤ 70°:
- 30.28 deg, I 27.0, hkl 1 0 0
- 31.04 deg, I 6.8, hkl 1 0 1
- 36.61 deg, I 100.0, hkl 1 0 3
- 40.82 deg, I 12.5, hkl 0 0 6
- 40.93 deg, I 4.4, hkl 1 0 4
- 51.66 deg, I 11.0, hkl 1 0 6
- 53.79 deg, I 24.8, hkl 1 1 0
- 64.46 deg, I 6.5, hkl 1 0 8
- 66.83 deg, I 17.3, hkl 2 0 3
- 69.67 deg, I 16.6, hkl 1 1 6

Crystal structure
Cell: 3.408 3.408 13.264 Å, 90.00 90.00 120.00°
Positions (direct):
Hf 0.000 0.000 0.144
Hf 0.000 0.000 0.856
Hf 0.667 0.333 0.327
Hf 0.667 0.333 0.673
Sb 0.000 0.000 0.500
As 0.667 0.333 0.000
C 0.333 0.667 0.237
C 0.333 0.667 0.763

=====

Entry 3:
Starting from a structure optimized by DFT (GGA-PBE), the PXRD pattern of HfTaAsC was computed for Cu Kα X-rays.
Peak positions follow from Bragg's law for the DFT cell and can differ from measured ones.

Largest 10 diffraction maxima, in order of rising 2θ, 5° ≤ 2θ ≤ 70°:
- 29.15 deg, I 8.2, hkl 0 0 4
- 30.68 deg, I 27.8, hkl 1 0 0
- 31.56 deg, I 14.3, hkl 1 0 1
- 37.93 deg, I 100.0, hkl 1 0 3
- 42.83 deg, I 6.1, hkl 1 0 4
- 44.35 deg, I 11.5, hkl 0 0 6
- 54.55 deg, I 25.8, hkl 1 1 0
- 54.89 deg, I 10.6, hkl 1 0 6
- 61.82 deg, I 8.3, hkl 1 0 7
- 68.36 deg, I 17.9, hkl 2 0 3

Crystal structure
Cell: 3.365 3.365 12.256 Å, 90.00 90.00 120.00°
Positions (direct):
Hf 0.333 0.667 0.000
Hf 0.667 0.333 0.500
Ta 0.333 0.667 0.306
Ta 0.667 0.333 0.806
As 0.333 0.667 0.659
As 0.667 0.333 0.159
C 0.000 0.000 0.400
C 0.000 0.000 0.900

=====

Entry 4:
Starting from a structure optimized by DFT (GGA-PBE), the PXRD pattern of Hf4ZnAsC2 was computed for Cu Kα X-rays.
Peak positions follow from Bragg's law for the DFT cell and can differ from measured ones.

Largest 10 diffraction maxima, in order of rising 2θ, 5° ≤ 2θ ≤ 70°:
- 13.21 deg, I 8.7, hkl 0 0 2
- 26.61 deg, I 6.6, hkl 0 0 4
- 30.90 deg, I 25.6, hkl 1 0 0
- 31.63 deg, I 12.5, hkl 1 0 1
- 37.01 deg, I 100.0, hkl 1 0 3
- 40.38 deg, I 13.9, hkl 0 0 6
- 41.22 deg, I 6.7, hkl 1 0 4
- 51.70 deg, I 12.2, hkl 1 0 6
- 54.95 deg, I 23.6, hkl 1 1 0
- 68.11 deg, I 16.8, hkl 2 0 3

Crystal structure
Cell: 3.342 3.342 13.401 Å, 90.00 90.00 120.00°
Positions (direct):
Hf 0.000 0.000 0.147
Hf 0.000 0.000 0.853
Hf 0.333 0.667 0.332
Hf 0.333 0.667 0.668
Zn 0.000 0.000 0.500
As 0.333 0.667 0.000
C 0.667 0.333 0.240
C 0.667 0.333 0.760

=====

Entry 5:
Starting from a structure optimized by DFT (GGA-PBE), the PXRD pattern of Zr4In2AsC was computed for Cu Kα X-rays.
Peak positions follow from Bragg's law for the DFT cell and can differ from measured ones.

Largest 10 diffraction maxima, in order of rising 2θ, 5° ≤ 2θ ≤ 70°:
- 29.53 deg, I 13.3, hkl 1 0 0
- 31.73 deg, I 9.9, hkl 1 0 2
- 34.31 deg, I 100.0, hkl 1 0 3
- 34.56 deg, I 10.7, hkl 0 0 6
- 37.66 deg, I 9.4, hkl 0 1 4
- 46.08 deg, I 19.4, hkl 0 1 6
- 52.38 deg, I 26.9, hkl 1 1 0
- 64.12 deg, I 15.5, hkl 0 2 3
- 64.28 deg, I 10.1, hkl 1 1 6
- 67.68 deg, I 7.7, hkl 1 0 10

Crystal structure
Cell: 3.493 3.493 15.570 Å, 90.00 90.00 120.00°
Positions (direct):
Zr 0.333 0.667 0.078
Zr 0.333 0.667 0.393
Zr 0.667 0.333 0.607
Zr 0.667 0.333 0.922
In 0.333 0.667 0.764
In 0.667 0.333 0.236
As 0.000 0.000 0.500
C 0.000 0.000 0.000

=====

Entry 6:
Starting from a structure optimized by DFT (GGA-PBE), the PXRD pattern of Lu3AsCN was computed for Cu Kα X-rays.
Peak positions follow from Bragg's law for the DFT cell and can differ from measured ones.

Largest 10 diffraction maxima, in order of rising 2θ, 5° ≤ 2θ ≤ 70°:
- 27.90 deg, I 11.5, hkl 0 0 6
- 30.07 deg, I 42.9, hkl 1 0 1
- 31.16 deg, I 11.5, hkl 0 1 2
- 32.90 deg, I 10.9, hkl 1 0 3
- 35.22 deg, I 100.0, hkl 0 1 4
- 37.50 deg, I 19.0, hkl 0 0 8
- 38.01 deg, I 42.3, hkl 1 0 5
- 52.68 deg, I 53.4, hkl 1 1 0
- 64.98 deg, I 16.9, hkl 2 0 4
- 66.47 deg, I 21.9, hkl 1 1 8

Crystal structure
Cell: 3.473 3.473 19.188 Å, 90.00 90.00 120.00°
Positions (direct):
Lu 0.000 0.000 0.000
Lu 0.000 0.000 0.500
Lu 0.333 0.667 0.137
Lu 0.333 0.667 0.358
Lu 0.667 0.333 0.642
Lu 0.667 0.333 0.863
As 0.000 0.000 0.244
As 0.000 0.000 0.756
C 0.333 0.667 0.579
C 0.667 0.333 0.421
N 0.333 0.667 0.928
N 0.667 0.333 0.072

=====

Entry 7:
Starting from a structure optimized by DFT (GGA-PBE), the PXRD pattern of Lu4As2CN was computed for Cu Kα X-rays.
Peak positions follow from Bragg's law for the DFT cell and can differ from measured ones.

Largest 10 diffraction maxima, in order of rising 2θ, 5° ≤ 2θ ≤ 70°:
- 27.17 deg, I 8.9, hkl 0 0 4
- 28.81 deg, I 27.3, hkl 1 0 0
- 29.62 deg, I 14.7, hkl 1 0 1
- 35.49 deg, I 100.0, hkl 1 0 3
- 40.01 deg, I 7.0, hkl 1 0 4
- 41.26 deg, I 11.0, hkl 0 0 6
- 51.06 deg, I 37.4, hkl 1 1 0
- 57.43 deg, I 9.4, hkl 0 1 7
- 63.71 deg, I 18.4, hkl 0 2 3
- 67.64 deg, I 15.6, hkl 1 1 6

Crystal structure
Cell: 3.579 3.579 13.130 Å, 90.00 90.00 120.00°
Positions (direct):
Lu 0.333 0.667 0.099
Lu 0.333 0.667 0.401
Lu 0.667 0.333 0.599
Lu 0.667 0.333 0.901
As 0.333 0.667 0.746
As 0.667 0.333 0.254
C 0.000 0.000 0.000
N 0.000 0.000 0.500

=====

Entry 8:
Starting from a structure optimized by DFT (GGA-PBE), the PXRD pattern of SiMo4AsC2 was computed for Cu Kα X-rays.
Peak positions follow from Bragg's law for the DFT cell and can differ from measured ones.

Largest 10 diffraction maxima, in order of rising 2θ, 5° ≤ 2θ ≤ 70°:
- 7.14 deg, I 6.2, hkl 0 0 1
- 14.30 deg, I 7.1, hkl 0 0 2
- 28.83 deg, I 3.8, hkl 0 0 4
- 32.88 deg, I 24.9, hkl 1 0 0
- 33.69 deg, I 7.9, hkl 1 0 1
- 39.64 deg, I 100.0, hkl 1 0 3
- 43.85 deg, I 14.0, hkl 0 0 6
- 55.87 deg, I 12.6, hkl 1 0 6
- 58.71 deg, I 22.2, hkl 1 1 0
- 62.59 deg, I 3.8, hkl 1 0 7

Crystal structure
Cell: 3.145 3.145 12.389 Å, 90.00 90.00 120.00°
Positions (direct):
Si 0.000 0.000 0.000
Mo 0.000 0.000 0.337
Mo 0.000 0.000 0.663
Mo 0.667 0.333 0.153
Mo 0.667 0.333 0.847
As 0.667 0.333 0.500
C 0.333 0.667 0.248
C 0.333 0.667 0.752